Starting from a crystal structure in the Materials Project, relaxed with GGA-PBE, the PXRD pattern of CrNi3Sb4 was computed for Cu Ka.
Lines closer than 0.1° are merged.

Atomic structure:
```
CrNi3Sb4
1.0
4.002 0.000 0.000
-2.001 3.466 0.000
0.000 0.000 10.529
Cr Ni Sb
1 3 4
Cartesian
0.000 0.000 0.000 Cr
0.000 0.000 2.659 Ni
0.000 0.000 5.265 Ni
0.000 0.000 7.870 Ni
0.000 2.310 1.482 Sb
0.000 2.310 6.541 Sb
2.001 1.155 3.988 Sb
2.001 1.155 9.047 Sb
```

Peak list (10 most intense, 2θ from 5° to 70°, by angle)
8.4°, intensity 2; 30.9°, intensity 100; 34.1°, intensity 3; 43.2°, intensity 54; 45.3°, intensity 53; 50.7°, intensity 2; 55.9°, intensity 18; 57.9°, intensity 5; 59.0°, intensity 13; 64.4°, intensity 15

***

Starting from a crystal structure in the Materials Project, relaxed with GGA-PBE, the PXRD pattern of CrNiSb was computed for Cu Ka.
Lines closer than 0.1° are merged.

Atomic structure:
```
CrNiSb
1.0
0.000 2.951 2.951
2.951 0.000 2.951
2.951 2.951 0.000
Cr Ni Sb
1 1 1
Cartesian
0.000 0.000 0.000 Cr
4.427 4.427 4.427 Ni
2.951 2.951 2.951 Sb
```

Peak list (7 most intense, 2θ from 5° to 70°, by angle)
26.2°, intensity 40; 30.3°, intensity 29; 43.4°, intensity 100; 51.3°, intensity 19; 53.8°, intensity 7; 63.0°, intensity 15; 69.4°, intensity 8

***

Starting from a crystal structure in the Materials Project, relaxed with GGA-PBE, the PXRD pattern of Cr2NiSe4 was computed for Cu Ka.
Lines closer than 0.1° are merged.

Atomic structure:
```
Cr2NiSe4
1.0
6.335 -1.804 0.000
6.335 1.804 0.000
-2.903 0.000 5.585
Cr Ni Se
2 1 4
Cartesian
2.405 0.000 1.223 Cr
7.362 0.000 4.361 Cr
4.884 0.000 2.792 Ni
0.296 0.000 2.651 Se
4.710 0.000 0.288 Se
5.057 0.000 5.296 Se
9.471 0.000 2.933 Se
```

Peak list (10 most intense, 2θ from 5° to 70°, by angle)
32.1°, intensity 32; 32.5°, intensity 100; 33.0°, intensity 51; 33.2°, intensity 52; 42.3°, intensity 23; 42.8°, intensity 49; 43.7°, intensity 51; 50.3°, intensity 67; 50.6°, intensity 34; 61.9°, intensity 24

***

Starting from a crystal structure in the Materials Project, relaxed with GGA-PBE, the PXRD pattern of Cr5NiSn12 was computed for Cu Ka.
Lines closer than 0.1° are merged.

Atomic structure:
```
Cr5NiSn12
1.0
2.768 -4.770 0.000
2.768 4.770 0.000
0.000 0.000 13.652
Cr Ni Sn
5 1 12
Cartesian
0.000 0.000 0.000 Cr
1.384 2.385 9.105 Cr
1.384 -2.385 4.546 Cr
2.768 0.000 4.519 Cr
2.768 0.000 9.133 Cr
2.768 0.000 0.000 Ni
0.000 0.000 5.316 Sn
0.000 0.000 8.335 Sn
1.384 2.385 0.740 Sn
1.384 2.385 3.783 Sn
1.387 0.775 11.403 Sn
1.387 -0.775 2.248 Sn
2.768 1.581 6.826 Sn
1.384 -2.385 9.869 Sn
1.384 -2.385 12.911 Sn
2.768 -1.581 6.826 Sn
4.148 0.775 2.248 Sn
4.148 -0.775 11.403 Sn
```

Peak list (10 most intense, 2θ from 5° to 70°, by angle)
32.2°, intensity 83; 33.0°, intensity 41; 33.1°, intensity 84; 35.1°, intensity 59; 37.9°, intensity 100; 42.7°, intensity 84; 42.8°, intensity 40; 61.6°, intensity 35; 64.2°, intensity 32; 68.0°, intensity 30